This entry pairs a crystal structure of Nd4S4Cl2O with its calculated X-ray powder pattern. Radiation: Cu Kα (λ = 1.5418 Å). Structure: a crystal structure in the Materials Project, relaxed with PBE.
Lines closer than 0.1° are merged.

Cell: 9.1534 16.1251 6.9141 Å, 90.00 90.00 90.00°
Space group Cmc2_1 (No. 36)
One atom of each set of equivalent atoms:
Nd 0.0000 0.1804 0.0000 x4
Nd 0.0000 0.3042 0.5492 x4
Nd 0.2072 0.1007 0.5271 x8
S 0.0000 0.0389 0.2513 x4
S 0.0000 0.3655 0.9270 x4
S 0.2060 0.2380 0.2644 x8
Cl 0.1991 0.4344 0.4235 x8
O 0.0000 0.1673 0.6552 x4

Top 12 peaks for 2θ from 5° to 70°, low angle first:
Position (°2θ)  I (rel.)
11.0  12.7
22.3  21.6
25.6  35.1
25.8  100.0
34.2  13.3
34.4  32.8
35.8  21.1
36.3  19.5
38.9  22.7
39.4  16.4
45.3  12.2
45.5  22.2

=====

This entry pairs a crystal structure of NdSeClO3 with its calculated X-ray powder pattern. Radiation: Cu Kα (λ = 1.5418 Å). Structure: a crystal structure in the Materials Project, relaxed with PBE.
Lines closer than 0.1° are merged.

Cell: 11.2998 5.4270 13.6658 Å, 90.00 90.00 90.00°
Space group Pnma (No. 62)
One atom of each set of equivalent atoms:
Nd 0.0709 0.2500 0.1001 x4
Nd 0.0721 0.7500 0.6446 x4
Se 0.1520 0.2500 0.8163 x4
Se 0.2407 0.7500 0.0298 x4
Cl 0.0178 0.7500 0.4322 x4
Cl 0.1667 0.2500 0.2996 x4
O 0.0566 0.0013 0.7920 x8
O 0.0856 0.7500 0.0261 x4
O 0.1575 0.2500 0.9402 x4
O 0.2434 0.0037 0.6101 x8

Top 12 peaks for 2θ from 5° to 70°, low angle first:
Position (°2θ)  I (rel.)
15.2  31.0
17.6  31.8
23.6  37.6
26.7  52.9
27.0  22.5
29.6  100.0
32.0  46.9
33.0  55.1
42.1  26.5
43.2  31.1
45.6  23.9
54.5  33.2